(1)
Starting from a structure optimized by DFT (GGA-PBE), the powder diffractogram of La2SiBPt6 was computed for Cu Kα, 1.54184 Å.
Kinematic intensities with the Lorentz-polarization factor, no thermal factor.

Atomic structure:
abc: 5.823 5.823 10.706
angles: 90.00 90.00 90.00
Space group I4mm (No. 107)
Asymmetric unit:
La: 0.000 0.500 0.000 x4
Si: 0.000 0.000 0.147 x2
B: 0.000 0.000 0.644 x2
Pt: 0.000 0.000 0.445 x2
Pt: 0.000 0.000 0.932 x2
Pt: 0.241 0.241 0.747 x8

Most intense lines, 2θ from 5° to 70°, by angle:
2θ (°)  d/Å  I (rel.)  hkl
16.6  5.353  8  0 0 2
27.3  3.264  6  1 1 2
33.5  2.677  20  0 0 4
35.1  2.558  100  2 0 2
40.2  2.244  10  1 1 4
44.0  2.059  32  2 2 0
46.1  1.970  10  2 0 4
56.4  1.632  18  2 2 4
60.9  1.521  9  2 0 6
64.0  1.456  11  4 0 0


(2)
Starting from a structure optimized by DFT (GGA-PBE), the powder diffractogram of Nd4TlCd2Ag was computed for Cu Kα, 1.54184 Å.
Kinematic intensities with the Lorentz-polarization factor, no thermal factor.

Atomic structure:
abc: 5.4281 5.4281 26.7050
angles: 90.00 90.00 120.00
Space group R-3m (No. 166, hexagonal axes)
Asymmetric unit:
Nd: 0.0000 0.0000 0.1222 x6
Nd: 0.0000 0.0000 0.3726 x6
Tl: 0.0000 0.0000 0.5000 x3
Cd: 0.0000 0.0000 0.2488 x6
Ag: 0.0000 0.0000 0.0000 x3

Most intense lines, 2θ from 5° to 70°, by angle:
2θ (°)  d/Å  I (rel.)  hkl
9.9  8.902  1  0 0 3
20.0  4.438  1  0 1 2
25.2  3.529  1  0 1 5
30.2  2.962  1  1 0 7
33.0  2.718  100  1 1 0
47.3  1.922  18  2 0 8
58.7  1.573  9  1 0 16
58.9  1.568  28  3 0 0
69.0  1.361  6  0 2 16
69.2  1.357  6  2 2 0


(3)
Starting from a structure optimized by DFT (GGA-PBE), the powder diffractogram of Pr5Pa3Sb8 was computed for Cu Kα, 1.54184 Å.
Kinematic intensities with the Lorentz-polarization factor, no thermal factor.

Atomic structure:
abc: 8.9512 8.9512 22.0503
angles: 90.00 90.00 120.00
Space group R-3m (No. 166, hexagonal axes)
Asymmetric unit:
Pr: 0.0000 0.0000 0.0000 x3
Pr: 0.0000 0.0000 0.5000 x3
Pr: 0.0000 0.5000 0.0000 x9
Pa: 0.0000 0.5000 0.5000 x9
Sb: 0.0000 0.0000 0.2461 x6
Sb: 0.0063 0.5031 0.7531 x18

Most intense lines, 2θ from 5° to 70°, by angle:
2θ (°)  d/Å  I (rel.)  hkl
12.1  7.341  5  0 0 3
24.3  3.657  4  2 0 2
28.1  3.171  100  0 2 4
40.1  2.246  38  2 0 8
40.3  2.238  38  2 2 0
49.6  1.838  7  0 0 12
49.9  1.828  21  4 0 4
58.2  1.585  13  0 4 8
65.8  1.420  18  2 2 12
66.0  1.416  18  2 4 4